# 1
For Pr7GeP5, the GGA-PBE geometry in Alexandria gives the simulated powder XRD pattern in this record (Cu Kα (weighted mean of Kα1 and Kα2)).

Crystal structure
abc: 7.233 7.233 24.717
angles: 90.00 90.00 146.19
Atoms (fractional coordinates):
Pr 0.047 0.953 0.750
Pr 0.137 0.863 0.035
Pr 0.137 0.863 0.465
Pr 0.319 0.681 0.675
Pr 0.319 0.681 0.825
Pr 0.411 0.589 0.106
Pr 0.411 0.589 0.394
Pr 0.589 0.411 0.606
Pr 0.589 0.411 0.894
Pr 0.681 0.319 0.175
Pr 0.681 0.319 0.325
Pr 0.863 0.137 0.535
Pr 0.863 0.137 0.965
Pr 0.953 0.047 0.250
Ge 0.298 0.702 0.250
Ge 0.702 0.298 0.750
P 0.046 0.954 0.145
P 0.046 0.954 0.355
P 0.227 0.773 0.574
P 0.227 0.773 0.926
P 0.500 0.500 0.000
P 0.500 0.500 0.500
P 0.773 0.227 0.074
P 0.773 0.227 0.426
P 0.954 0.046 0.645
P 0.954 0.046 0.855

Largest 10 diffraction maxima, low angle first, 5 to 70 degrees two-theta:
2θ/deg	d_spacing	intensity
26.0	3.427	27
26.4	3.372	48
28.4	3.145	100
28.6	3.121	25
29.6	3.014	78
30.7	2.908	69
43.0	2.104	56
43.2	2.093	46
45.0	2.015	23
52.3	1.748	37


# 2
For PrGeP2, the GGA-PBE geometry in Alexandria gives the simulated powder XRD pattern in this record (Cu Kα (weighted mean of Kα1 and Kα2)).

Crystal structure
abc: 5.269 5.266 6.844
angles: 90.00 111.83 90.00
Atoms (fractional coordinates):
Pr 0.000 0.000 0.000
Pr 0.500 0.500 0.000
Ge 0.000 0.753 0.500
Ge 0.500 0.253 0.500
P 0.122 0.499 0.247
P 0.378 0.999 0.753
P 0.622 0.999 0.247
P 0.878 0.499 0.753

Largest 10 diffraction maxima, low angle first, 5 to 70 degrees two-theta:
2θ/deg	d_spacing	intensity
24.8	3.584	72
25.0	3.565	70
28.1	3.177	42
31.8	2.811	99
32.2	2.783	100
36.8	2.445	42
37.0	2.432	81
42.9	2.109	46
43.3	2.090	43
48.9	1.862	58


What did the first record say?
For Pr7GeP5, the GGA-PBE geometry in Alexandria gives the simulated powder XRD pattern in this record (Cu Kα (weighted mean of Kα1 and Kα2)).

Crystal structure
abc: 7.233 7.233 24.717
angles: 90.00 90.00 146.19
Atoms (fractional coordinates):
Pr 0.047 0.953 0.750
Pr 0.137 0.863 0.035
Pr 0.137 0.863 0.465
Pr 0.319 0.681 0.675
Pr 0.319 0.681 0.825
Pr 0.411 0.589 0.106
Pr 0.411 0.589 0.394
Pr 0.589 0.411 0.606
Pr 0.589 0.411 0.894
Pr 0.681 0.319 0.175
Pr 0.681 0.319 0.325
Pr 0.863 0.137 0.535
Pr 0.863 0.137 0.965
Pr 0.953 0.047 0.250
Ge 0.298 0.702 0.250
Ge 0.702 0.298 0.750
P 0.046 0.954 0.145
P 0.046 0.954 0.355
P 0.227 0.773 0.574
P 0.227 0.773 0.926
P 0.500 0.500 0.000
P 0.500 0.500 0.500
P 0.773 0.227 0.074
P 0.773 0.227 0.426
P 0.954 0.046 0.645
P 0.954 0.046 0.855

Largest 10 diffraction maxima, low angle first, 5 to 70 degrees two-theta:
2θ/deg	d_spacing	intensity
26.0	3.427	27
26.4	3.372	48
28.4	3.145	100
28.6	3.121	25
29.6	3.014	78
30.7	2.908	69
43.0	2.104	56
43.2	2.093	46
45.0	2.015	23
52.3	1.748	37